The following is a calculated XRD peak list of TaMn2P. It was derived from a DFT-relaxed cell (PBE, Alexandria), using CuKα.

Largest 10 diffraction maxima, sorted by position, 2θ from 5° to 70°:
| 2θ/deg | I (rel.) |
| --- | --- |
| 19.92 | 85 |
| 21.64 | 33 |
| 29.58 | 79 |
| 37.46 | 79 |
| 38.22 | 86 |
| 43.26 | 99 |
| 44.11 | 58 |
| 46.36 | 100 |
| 51.56 | 19 |
| 59.22 | 40 |

Cell and atoms:
Cell lengths 2.874, 4.106, 4.457 Å; angles 90.00, 90.77, 90.00 degrees
Sites, in units of the cell vectors:
Ta: 0.000 0.000 0.000
Mn: 0.368 0.500 0.742
Mn: 0.632 0.500 0.258
P: 0.500 0.000 0.500

=====

The following is a calculated XRD peak list of Ta2Mn21P6. It was derived from a DFT-relaxed cell (PBE, Alexandria), using CuKα.

Largest 10 diffraction maxima, sorted by position, 2θ from 5° to 70°:
| 2θ/deg | I (rel.) |
| --- | --- |
| 15.92 | 44 |
| 22.58 | 16 |
| 27.75 | 13 |
| 36.07 | 71 |
| 39.65 | 74 |
| 42.16 | 100 |
| 46.11 | 79 |
| 48.35 | 32 |
| 54.67 | 45 |
| 69.62 | 20 |

Cell and atoms:
Cell lengths 7.874, 7.874, 7.874 Å; angles 60.00, 60.00, 60.00 degrees
Sites, in units of the cell vectors:
Ta: 0.250 0.250 0.250
Ta: 0.750 0.750 0.750
Mn: 0.000 0.000 0.000
Mn: 0.000 0.000 0.354
Mn: 0.000 0.000 0.646
Mn: 0.000 0.354 0.000
Mn: 0.000 0.354 0.646
Mn: 0.000 0.646 0.000
Mn: 0.000 0.646 0.354
Mn: 0.140 0.620 0.620
Mn: 0.354 0.000 0.000
Mn: 0.354 0.000 0.646
Mn: 0.354 0.646 0.000
Mn: 0.380 0.380 0.380
Mn: 0.380 0.380 0.860
Mn: 0.380 0.860 0.380
Mn: 0.620 0.140 0.620
Mn: 0.620 0.620 0.140
Mn: 0.620 0.620 0.620
Mn: 0.646 0.000 0.000
Mn: 0.646 0.000 0.354
Mn: 0.646 0.354 0.000
Mn: 0.860 0.380 0.380
P: 0.269 0.269 0.731
P: 0.269 0.731 0.269
P: 0.269 0.731 0.731
P: 0.731 0.269 0.269
P: 0.731 0.269 0.731
P: 0.731 0.731 0.269

=====

The following is a calculated XRD peak list of UMnTc2P2. It was derived from a DFT-relaxed cell (PBE, Alexandria), using CuKα.

Largest 10 diffraction maxima, sorted by position, 2θ from 5° to 70°:
| 2θ/deg | I (rel.) |
| --- | --- |
| 12.39 | 25 |
| 22.37 | 23 |
| 25.65 | 46 |
| 28.91 | 30 |
| 36.84 | 100 |
| 38.54 | 33 |
| 39.03 | 99 |
| 40.61 | 28 |
| 44.35 | 37 |
| 45.65 | 37 |

Cell and atoms:
Cell lengths 3.975, 7.143, 6.175 Å; angles 90.00, 90.00, 90.00 degrees
Sites, in units of the cell vectors:
U: 0.000 0.044 0.000
U: 0.000 0.956 0.500
Mn: 0.500 0.188 0.656
Mn: 0.500 0.812 0.156
Tc: 0.000 0.333 0.368
Tc: 0.000 0.667 0.868
Tc: 0.500 0.422 0.025
Tc: 0.500 0.578 0.525
P: 0.000 0.360 0.747
P: 0.000 0.640 0.247
P: 0.500 0.162 0.278
P: 0.500 0.838 0.778

=====

The following is a calculated XRD peak list of ThMn9P4. It was derived from a DFT-relaxed cell (PBE, Alexandria), using CuKα.

Largest 10 diffraction maxima, sorted by position, 2θ from 5° to 70°:
| 2θ/deg | I (rel.) |
| --- | --- |
| 22.41 | 22 |
| 23.29 | 21 |
| 27.90 | 17 |
| 34.90 | 38 |
| 36.65 | 27 |
| 37.22 | 24 |
| 38.79 | 33 |
| 40.40 | 100 |
| 47.09 | 17 |
| 49.78 | 24 |

Cell and atoms:
Cell lengths 7.960, 7.960, 7.960 Å; angles 122.65, 122.65, 85.46 degrees
Sites, in units of the cell vectors:
Th: 0.250 0.250 0.000
Th: 0.750 0.750 0.000
Mn: 0.000 0.500 0.500
Mn: 0.046 0.546 0.236
Mn: 0.066 0.810 0.876
Mn: 0.190 0.066 0.256
Mn: 0.191 0.954 0.500
Mn: 0.309 0.809 0.764
Mn: 0.310 0.566 0.876
Mn: 0.434 0.310 0.744
Mn: 0.454 0.691 0.500
Mn: 0.500 0.000 0.500
Mn: 0.546 0.309 0.500
Mn: 0.566 0.690 0.256
Mn: 0.690 0.434 0.124
Mn: 0.691 0.191 0.236
Mn: 0.809 0.046 0.500
Mn: 0.810 0.934 0.744
Mn: 0.934 0.190 0.124
Mn: 0.954 0.454 0.764
P: 0.035 0.208 0.500
P: 0.208 0.708 0.173
P: 0.292 0.465 0.500
P: 0.465 0.965 0.173
P: 0.535 0.035 0.827
P: 0.708 0.535 0.500
P: 0.792 0.292 0.827
P: 0.965 0.792 0.500

=====

The following is a calculated XRD peak list of Tm2Mn12P7. It was derived from a DFT-relaxed cell (PBE, Alexandria), using CuKα.

Largest 10 diffraction maxima, sorted by position, 2θ from 5° to 70°:
| 2θ/deg | I (rel.) |
| --- | --- |
| 27.25 | 14 |
| 29.47 | 9 |
| 33.52 | 17 |
| 38.91 | 100 |
| 40.55 | 8 |
| 48.14 | 11 |
| 50.95 | 14 |
| 52.27 | 16 |
| 56.19 | 10 |
| 67.04 | 12 |

Cell and atoms:
Cell lengths 9.261, 9.261, 3.585 Å; angles 90.00, 90.00, 120.00 degrees
Sites, in units of the cell vectors:
Tm: 0.000 0.000 0.000
Tm: 0.333 0.667 0.500
Mn: 0.061 0.772 0.500
Mn: 0.091 0.382 0.000
Mn: 0.228 0.289 0.500
Mn: 0.291 0.909 0.000
Mn: 0.390 0.214 0.000
Mn: 0.542 0.106 0.500
Mn: 0.564 0.458 0.500
Mn: 0.618 0.709 0.000
Mn: 0.711 0.939 0.500
Mn: 0.786 0.176 0.000
Mn: 0.824 0.610 0.000
Mn: 0.894 0.436 0.500
P: 0.079 0.625 0.000
P: 0.257 0.053 0.500
P: 0.375 0.455 0.000
P: 0.545 0.921 0.000
P: 0.667 0.333 0.000
P: 0.796 0.743 0.500
P: 0.947 0.204 0.500

=====

The following is a calculated XRD peak list of UMnP. It was derived from a DFT-relaxed cell (PBE, Alexandria), using CuKα.

Largest 10 diffraction maxima, sorted by position, 2θ from 5° to 70°:
| 2θ/deg | I (rel.) |
| --- | --- |
| 26.04 | 100 |
| 28.65 | 25 |
| 32.76 | 31 |
| 35.18 | 45 |
| 35.86 | 36 |
| 38.58 | 37 |
| 39.16 | 54 |
| 41.16 | 30 |
| 47.61 | 36 |
| 54.17 | 25 |

Cell and atoms:
Cell lengths 3.841, 3.841, 6.306 Å; angles 95.92, 95.92, 90.75 degrees
Sites, in units of the cell vectors:
U: 0.195 0.195 0.156
U: 0.805 0.805 0.844
Mn: 0.255 0.745 0.500
Mn: 0.745 0.255 0.500
P: 0.280 0.280 0.703
P: 0.720 0.720 0.297

=====

The following is a calculated XRD peak list of Mn5VP3. It was derived from a DFT-relaxed cell (PBE, Alexandria), using CuKα.

Largest 10 diffraction maxima, sorted by position, 2θ from 5° to 70°:
| 2θ/deg | I (rel.) |
| --- | --- |
| 35.96 | 20 |
| 40.48 | 31 |
| 40.68 | 57 |
| 42.97 | 41 |
| 44.15 | 26 |
| 44.74 | 20 |
| 44.92 | 100 |
| 50.57 | 15 |
| 52.11 | 25 |
| 52.68 | 18 |

Cell and atoms:
Cell lengths 6.296, 6.296, 12.821 Å; angles 90.00, 90.00, 155.66 degrees
Sites, in units of the cell vectors:
Mn: 0.000 0.000 0.000
Mn: 0.000 0.000 0.500
Mn: 0.192 0.808 0.579
Mn: 0.192 0.808 0.921
Mn: 0.468 0.532 0.161
Mn: 0.468 0.532 0.339
Mn: 0.532 0.468 0.661
Mn: 0.532 0.468 0.839
Mn: 0.808 0.192 0.079
Mn: 0.808 0.192 0.421
V: 0.162 0.838 0.250
V: 0.838 0.162 0.750
P: 0.158 0.842 0.750
P: 0.371 0.629 0.570
P: 0.371 0.629 0.930
P: 0.629 0.371 0.070
P: 0.629 0.371 0.430
P: 0.842 0.158 0.250

=====

The following is a calculated XRD peak list of Mn21P6W2. It was derived from a DFT-relaxed cell (PBE, Alexandria), using CuKα.

Largest 10 diffraction maxima, sorted by position, 2θ from 5° to 70°:
| 2θ/deg | I (rel.) |
| --- | --- |
| 16.02 | 49 |
| 22.74 | 17 |
| 27.94 | 15 |
| 36.32 | 68 |
| 39.93 | 76 |
| 42.46 | 100 |
| 46.44 | 77 |
| 48.70 | 31 |
| 52.31 | 16 |
| 55.07 | 44 |

Cell and atoms:
Cell lengths 7.822, 7.822, 7.822 Å; angles 60.00, 60.00, 60.00 degrees
Sites, in units of the cell vectors:
Mn: 0.000 0.000 0.000
Mn: 0.000 0.000 0.351
Mn: 0.000 0.000 0.649
Mn: 0.000 0.351 0.000
Mn: 0.000 0.351 0.649
Mn: 0.000 0.649 0.000
Mn: 0.000 0.649 0.351
Mn: 0.130 0.623 0.623
Mn: 0.351 0.000 0.000
Mn: 0.351 0.000 0.649
Mn: 0.351 0.649 0.000
Mn: 0.377 0.377 0.377
Mn: 0.377 0.377 0.870
Mn: 0.377 0.870 0.377
Mn: 0.623 0.130 0.623
Mn: 0.623 0.623 0.130
Mn: 0.623 0.623 0.623
Mn: 0.649 0.000 0.000
Mn: 0.649 0.000 0.351
Mn: 0.649 0.351 0.000
Mn: 0.870 0.377 0.377
P: 0.275 0.275 0.725
P: 0.275 0.725 0.275
P: 0.275 0.725 0.725
P: 0.725 0.275 0.275
P: 0.725 0.275 0.725
P: 0.725 0.725 0.275
W: 0.250 0.250 0.250
W: 0.750 0.750 0.750

=====

The following is a calculated XRD peak list of Y2Mn12P7. It was derived from a DFT-relaxed cell (PBE, Alexandria), using CuKα.

Largest 10 diffraction maxima, sorted by position, 2θ from 5° to 70°:
| 2θ/deg | I (rel.) |
| --- | --- |
| 33.39 | 7 |
| 38.74 | 100 |
| 40.41 | 8 |
| 41.98 | 11 |
| 45.06 | 8 |
| 47.94 | 17 |
| 49.36 | 8 |
| 50.65 | 18 |
| 52.07 | 17 |
| 66.73 | 9 |

Cell and atoms:
Cell lengths 9.293, 9.293, 3.605 Å; angles 90.00, 90.00, 120.00 degrees
Sites, in units of the cell vectors:
Y: 0.000 0.000 0.000
Y: 0.333 0.667 0.500
Mn: 0.042 0.757 0.500
Mn: 0.105 0.378 0.000
Mn: 0.243 0.285 0.500
Mn: 0.273 0.895 0.000
Mn: 0.439 0.230 0.000
Mn: 0.510 0.057 0.500
Mn: 0.548 0.490 0.500
Mn: 0.622 0.727 0.000
Mn: 0.715 0.958 0.500
Mn: 0.770 0.210 0.000
Mn: 0.790 0.561 0.000
Mn: 0.943 0.452 0.500
P: 0.074 0.613 0.000
P: 0.256 0.042 0.500
P: 0.387 0.461 0.000
P: 0.539 0.926 0.000
P: 0.667 0.333 0.500
P: 0.786 0.744 0.500
P: 0.958 0.214 0.500

=====

The following is a calculated XRD peak list of PaMn5. It was derived from a DFT-relaxed cell (PBE, Alexandria), using CuKα.

Largest 10 diffraction maxima, sorted by position, 2θ from 5° to 70°:
| 2θ/deg | I (rel.) |
| --- | --- |
| 15.90 | 15 |
| 23.83 | 13 |
| 24.91 | 24 |
| 28.78 | 16 |
| 32.12 | 19 |
| 34.74 | 28 |
| 41.82 | 100 |
| 48.23 | 18 |
| 48.77 | 17 |
| 68.74 | 14 |

Cell and atoms:
Cell lengths 5.885, 5.885, 3.734 Å; angles 90.00, 90.00, 142.60 degrees
Sites, in units of the cell vectors:
Pa: 0.000 0.000 0.000
Mn: 0.188 0.812 0.500
Mn: 0.309 0.691 0.000
Mn: 0.500 0.500 0.500
Mn: 0.691 0.309 0.000
Mn: 0.812 0.188 0.500

=====

The following is a calculated XRD peak list of PaMnPb. It was derived from a DFT-relaxed cell (PBE, Alexandria), using CuKα.

Largest 10 diffraction maxima, sorted by position, 2θ from 5° to 70°:
| 2θ/deg | I (rel.) |
| --- | --- |
| 26.56 | 63 |
| 31.57 | 100 |
| 31.84 | 77 |
| 32.09 | 96 |
| 32.57 | 93 |
| 35.30 | 74 |
| 37.46 | 42 |
| 39.17 | 40 |
| 43.94 | 36 |
| 52.46 | 29 |

Cell and atoms:
Cell lengths 4.183, 5.949, 6.002 Å; angles 99.32, 109.18, 101.12 degrees
Sites, in units of the cell vectors:
Pa: 0.223 0.347 0.218
Pa: 0.777 0.653 0.782
Mn: 0.094 0.641 0.380
Mn: 0.906 0.359 0.620
Pb: 0.391 0.092 0.744
Pb: 0.609 0.908 0.256

=====

The following is a calculated XRD peak list of PaMnPbS4. It was derived from a DFT-relaxed cell (PBE, Alexandria), using CuKα.

Largest 10 diffraction maxima, sorted by position, 2θ from 5° to 70°:
| 2θ/deg | I (rel.) |
| --- | --- |
| 20.24 | 100 |
| 22.61 | 27 |
| 26.79 | 73 |
| 28.58 | 46 |
| 30.62 | 47 |
| 33.89 | 67 |
| 36.75 | 41 |
| 41.15 | 32 |
| 45.18 | 32 |
| 48.54 | 22 |

Cell and atoms:
Cell lengths 6.502, 6.247, 8.299 Å; angles 90.00, 108.58, 90.00 degrees
Sites, in units of the cell vectors:
Pa: 0.235 0.250 0.053
Pa: 0.765 0.750 0.947
Mn: 0.227 0.750 0.822
Mn: 0.773 0.250 0.178
Pb: 0.288 0.250 0.561
Pb: 0.712 0.750 0.439
S: 0.026 0.513 0.216
S: 0.026 0.987 0.216
S: 0.432 0.750 0.639
S: 0.451 0.750 0.098
S: 0.549 0.250 0.902
S: 0.568 0.250 0.361
S: 0.974 0.013 0.784
S: 0.974 0.487 0.784